NiPO4: theoretical powder X-ray diffraction pattern (Cu Kα, 1.54184 Å), based on a cell relaxed with GGA+U.
Kinematic intensities with the Lorentz-polarization factor, no thermal factor.

Structure:
a = 4.6388 Å, b = 4.6388 Å, c = 6.1765 Å
α = 90.00°, β = 90.00°, γ = 111.87°
Element x y z (fractional)
Ni 0.0000 0.0000 0.0000
Ni 0.0000 0.0000 0.5000
P 0.3462 0.6538 0.7500
P 0.6538 0.3462 0.2500
O 0.2240 0.2857 0.7500
O 0.2416 0.7584 0.5396
O 0.2416 0.7584 0.9604
O 0.2857 0.2240 0.2500
O 0.7143 0.7760 0.7500
O 0.7584 0.2416 0.0396
O 0.7584 0.2416 0.4604
O 0.7760 0.7143 0.2500

Top 8 peaks for 10° ≤ 2θ ≤ 80°, in order of rising 2θ:
two_theta, I (rel.)
20.63, 64.8
23.15, 28.7
25.22, 43.4
34.52, 35.1
35.78, 100.0
39.21, 41.7
45.63, 29.2
67.83, 31.5

***

MgMn6O7F5: theoretical powder X-ray diffraction pattern (Cu Kα, 1.54184 Å), based on a cell relaxed with GGA+U.
Kinematic intensities with the Lorentz-polarization factor, no thermal factor.

Structure:
a = 5.4701 Å, b = 5.7855 Å, c = 7.5797 Å
α = 83.38°, β = 88.48°, γ = 83.30°
Element x y z (fractional)
Mg 0.0000 0.0000 0.0000
Mn 0.0432 0.5304 0.3355
Mn 0.4987 0.1266 0.8373
Mn 0.5045 0.4769 0.5138
Mn 0.5073 0.8291 0.1645
Mn 0.9139 0.5815 0.7931
Mn 0.9929 0.9984 0.5178
O 0.1430 0.6446 0.5566
O 0.3468 0.8585 0.9453
O 0.3807 0.5427 0.2697
O 0.6025 0.4295 0.7525
O 0.6495 0.0979 0.0640
O 0.8215 0.3138 0.4426
O 0.8474 0.9424 0.7491
F 0.1241 0.2966 0.9114
F 0.1292 0.0055 0.2631
F 0.3310 0.1421 0.5952
F 0.6959 0.8025 0.3934
F 0.9003 0.6528 0.0883

Top 8 peaks for 10° ≤ 2θ ≤ 80°, in order of rising 2θ:
two_theta, I (rel.)
18.41, 100.0
23.35, 66.4
25.97, 85.3
32.98, 57.6
33.48, 40.3
37.16, 49.4
39.34, 48.6
39.77, 39.0

***

Gd2MnSbO7: theoretical powder X-ray diffraction pattern (Cu Kα, 1.54184 Å), based on a cell relaxed with GGA+U.
Kinematic intensities with the Lorentz-polarization factor, no thermal factor.

Structure:
a = 7.3711 Å, b = 7.3711 Å, c = 7.3711 Å
α = 121.56°, β = 118.66°, γ = 89.83°
Element x y z (fractional)
Gd 0.0000 0.0000 0.0000
Gd 0.5000 0.0000 0.0000
Gd 0.5000 0.0000 0.5000
Gd 0.5000 0.5000 0.5000
Mn 0.0000 0.0000 0.5000
Mn 0.0000 0.5000 0.0000
Sb 0.0000 0.5000 0.5000
Sb 0.5000 0.5000 0.0000
O 0.0800 0.8300 0.2500
O 0.0903 0.4186 0.2595
O 0.0903 0.8308 0.6716
O 0.3275 0.5775 0.7500
O 0.3408 0.1692 0.7595
O 0.3408 0.5814 0.1716
O 0.3727 0.1227 0.2500
O 0.6273 0.8773 0.7500
O 0.6592 0.4186 0.8284
O 0.6592 0.8308 0.2405
O 0.6725 0.4225 0.2500
O 0.9097 0.1692 0.3284
O 0.9097 0.5814 0.7405
O 0.9200 0.1700 0.7500

Top 8 peaks for 10° ≤ 2θ ≤ 80°, in order of rising 2θ:
two_theta, I (rel.)
14.52, 18.0
29.27, 100.0
30.17, 93.0
34.36, 21.0
34.50, 40.5
49.49, 60.9
58.11, 28.5
59.66, 26.1

***

Ba2LaFe3O9: theoretical powder X-ray diffraction pattern (Cu Kα, 1.54184 Å), based on a cell relaxed with GGA+U.
Kinematic intensities with the Lorentz-polarization factor, no thermal factor.

Structure:
a = 5.6425 Å, b = 5.6425 Å, c = 6.8788 Å
α = 90.00°, β = 90.00°, γ = 120.00°
Element x y z (fractional)
Ba 0.3333 0.6667 0.1647
Ba 0.6667 0.3333 0.8353
La 0.0000 0.0000 0.5000
Fe 0.0000 0.0000 0.0000
Fe 0.3333 0.6667 0.6664
Fe 0.6667 0.3333 0.3336
O 0.0000 0.5000 0.5000
O 0.1614 0.3229 0.8209
O 0.1614 0.8386 0.8209
O 0.3229 0.1614 0.1791
O 0.5000 0.0000 0.5000
O 0.5000 0.5000 0.5000
O 0.6771 0.8386 0.8209
O 0.8386 0.1614 0.1791
O 0.8386 0.6771 0.1791

Top 8 peaks for 10° ≤ 2θ ≤ 80°, in order of rising 2θ:
two_theta, I (rel.)
22.32, 23.6
31.72, 100.0
31.82, 98.9
39.13, 27.3
45.54, 65.8
56.54, 57.6
66.26, 19.6
66.49, 19.2

***

Li2V3CrO8: theoretical powder X-ray diffraction pattern (Cu Kα, 1.54184 Å), based on a cell relaxed with GGA+U.
Kinematic intensities with the Lorentz-polarization factor, no thermal factor.

Structure:
a = 6.4283 Å, b = 6.4283 Å, c = 6.4945 Å
α = 106.37°, β = 106.37°, γ = 36.55°
Element x y z (fractional)
Li 0.0000 0.0000 0.0000
Li 0.1133 0.1133 0.7039
V 0.4484 0.4484 0.6322
V 0.6682 0.6682 0.0705
V 0.7688 0.7688 0.6607
Cr 0.3456 0.3456 0.0411
O 0.1781 0.1781 0.0292
O 0.2896 0.2896 0.7011
O 0.4079 0.4079 0.3570
O 0.4981 0.4981 0.9849
O 0.6168 0.6168 0.7107
O 0.7066 0.7066 0.3434
O 0.8249 0.8249 0.0050
O 0.9389 0.9389 0.6722

Top 8 peaks for 10° ≤ 2θ ≤ 80°, in order of rising 2θ:
two_theta, I (rel.)
14.28, 93.5
15.20, 69.1
23.35, 100.0
28.79, 65.4
32.16, 40.2
43.79, 48.1
44.54, 61.2
44.97, 66.2

***

Ba2LaVO6: theoretical powder X-ray diffraction pattern (Cu Kα, 1.54184 Å), based on a cell relaxed with GGA+U.
Kinematic intensities with the Lorentz-polarization factor, no thermal factor.

Structure:
a = 6.0503 Å, b = 6.0503 Å, c = 6.0503 Å
α = 60.00°, β = 60.00°, γ = 60.00°
Element x y z (fractional)
Ba 0.2500 0.2500 0.2500
Ba 0.7500 0.7500 0.7500
La 0.0000 0.0000 0.0000
V 0.5000 0.5000 0.5000
O 0.2760 0.2760 0.7240
O 0.2760 0.7240 0.2760
O 0.2760 0.7240 0.7240
O 0.7240 0.2760 0.2760
O 0.7240 0.2760 0.7240
O 0.7240 0.7240 0.2760

Top 8 peaks for 10° ≤ 2θ ≤ 80°, in order of rising 2θ:
two_theta, I (rel.)
29.53, 100.0
34.77, 6.1
36.37, 6.3
42.25, 30.6
52.39, 39.1
61.28, 18.7
69.48, 18.3
77.25, 6.0

***

La2VFeO6: theoretical powder X-ray diffraction pattern (Cu Kα, 1.54184 Å), based on a cell relaxed with GGA+U.
Kinematic intensities with the Lorentz-polarization factor, no thermal factor.

Structure:
a = 5.5860 Å, b = 5.6637 Å, c = 9.7040 Å
α = 90.00°, β = 125.14°, γ = 90.00°
Element x y z (fractional)
La 0.2398 0.0414 0.2502
La 0.2398 0.4586 0.7502
La 0.7602 0.5414 0.2498
La 0.7602 0.9586 0.7498
V 0.0000 0.0000 0.5000
V 0.0000 0.5000 0.0000
Fe 0.5000 0.0000 0.0000
Fe 0.5000 0.5000 0.5000
O 0.1657 0.2142 0.9550
O 0.1657 0.2858 0.4550
O 0.2435 0.7135 0.9540
O 0.2435 0.7865 0.4540
O 0.3364 0.0193 0.7504
O 0.3364 0.4807 0.2504
O 0.6636 0.5193 0.7496
O 0.6636 0.9807 0.2496
O 0.7565 0.2135 0.5460
O 0.7565 0.2865 0.0460
O 0.8343 0.7142 0.5450
O 0.8343 0.7858 0.0450

Top 8 peaks for 10° ≤ 2θ ≤ 80°, in order of rising 2θ:
two_theta, I (rel.)
22.37, 26.0
31.59, 22.3
31.86, 100.0
32.05, 24.0
45.62, 25.8
45.73, 14.9
56.98, 33.4
66.59, 13.5